[1]
Starting from the PBE geometry in Alexandria, the powder X-ray diffraction pattern of Dy2MnGa8 was calculated for Cu Kα (weighted mean of Kα1 and Kα2).

Main lines, sorted by position (5° ≤ 2θ ≤ 70°):
2θ (°)  intensity
20.93  186
30.83  86
31.73  111
33.81  430
38.33  1000
39.82  202
42.61  516
43.98  59
59.73  242
61.84  166

Structure:
```
Dy2MnGa8
1.0
4.243 0.000 0.000
0.000 4.243 0.000
0.000 0.000 11.319
Dy Mn Ga
2 1 8
direct
0.000 0.000 0.191
0.000 0.000 0.809
0.000 0.000 0.500
0.000 0.500 0.000
0.000 0.500 0.379
0.000 0.500 0.621
0.500 0.000 0.000
0.500 0.000 0.379
0.500 0.000 0.621
0.500 0.500 0.191
0.500 0.500 0.809
```

=====

[2]
Starting from the PBE geometry in Alexandria, the powder X-ray diffraction pattern of DyMnGa4 was calculated for Cu Kα (weighted mean of Kα1 and Kα2).

Main lines, sorted by position (5° ≤ 2θ ≤ 70°):
2θ (°)  intensity
29.08  246
29.41  612
31.16  261
32.60  652
37.53  418
37.83  1000
40.30  614
41.19  238
46.10  495
61.88  232

Structure:
```
DyMnGa4
1.0
5.495 -2.832 0.000
5.495 2.832 0.000
-0.207 0.000 7.543
Dy Mn Ga
2 2 8
direct
0.124 0.876 0.750
0.876 0.124 0.250
0.000 0.500 0.500
0.500 0.000 0.000
0.086 0.396 0.837
0.313 0.582 0.391
0.396 0.086 0.337
0.418 0.687 0.109
0.582 0.313 0.891
0.604 0.914 0.663
0.687 0.418 0.609
0.914 0.604 0.163
```